[1]
Starting from a crystal structure in Alexandria, relaxed with PBE, the X-ray diffraction stick pattern of Ce3Te3O was calculated for Cu Kα X-rays.
Intensities are scaled so that the largest is 100.

The 12 most intense peaks (2θ = 5–70°), low angle first:
2θ 25.74, d 3.461, I 22; 2θ 26.57, d 3.355, I 15; 2θ 28.87, d 3.093, I 23; 2θ 29.33, d 3.045, I 100; 2θ 31.45, d 2.845, I 54; 2θ 33.00, d 2.715, I 20; 2θ 33.45, d 2.679, I 15; 2θ 35.93, d 2.500, I 56; 2θ 42.65, d 2.120, I 36; 2θ 51.44, d 1.776, I 15; 2θ 57.97, d 1.591, I 15; 2θ 66.07, d 1.414, I 17

Crystal structure
a b c (Å): 13.8262 4.2402 13.8445
angles (deg): 90.00 90.00 90.00
Positions (direct):
Ce: 0.0349 0.2500 0.1611
Ce: 0.0615 0.2500 0.6293
Ce: 0.2105 0.2500 0.8586
Ce: 0.2895 0.7500 0.3586
Ce: 0.4385 0.7500 0.1293
Ce: 0.4651 0.7500 0.6611
Ce: 0.5349 0.2500 0.3389
Ce: 0.5615 0.2500 0.8707
Ce: 0.7105 0.2500 0.6414
Ce: 0.7895 0.7500 0.1414
Ce: 0.9385 0.7500 0.3707
Ce: 0.9651 0.7500 0.8389
Te: 0.1056 0.2500 0.3941
Te: 0.1247 0.7500 0.0052
Te: 0.2228 0.7500 0.6836
Te: 0.2772 0.2500 0.1836
Te: 0.3753 0.2500 0.5052
Te: 0.3944 0.7500 0.8941
Te: 0.6056 0.2500 0.1059
Te: 0.6247 0.7500 0.4948
Te: 0.7228 0.7500 0.8164
Te: 0.7772 0.2500 0.3164
Te: 0.8753 0.2500 0.9948
Te: 0.8944 0.7500 0.6059
O: 0.0454 0.2500 0.7946
O: 0.4546 0.7500 0.2946
O: 0.5454 0.2500 0.7054
O: 0.9546 0.7500 0.2054

***

[2]
Starting from a crystal structure in Alexandria, relaxed with PBE, the X-ray diffraction stick pattern of Sr2ReBiO6 was calculated for Cu Kα X-rays.
Intensities are scaled so that the largest is 100.

The 12 most intense peaks (2θ = 5–70°), low angle first:
2θ 18.32, d 4.842, I 20; 2θ 21.39, d 4.155, I 22; 2θ 28.30, d 3.153, I 100; 2θ 30.43, d 2.938, I 43; 2θ 37.14, d 2.421, I 12; 2θ 43.25, d 2.092, I 14; 2θ 43.57, d 2.077, I 24; 2θ 48.74, d 1.868, I 23; 2θ 52.77, d 1.735, I 36; 2θ 58.55, d 1.577, I 12; 2θ 61.65, d 1.504, I 8; 2θ 63.07, d 1.474, I 9

Crystal structure
a b c (Å): 5.8759 5.8759 4.8418
angles (deg): 90.00 90.00 90.00
Positions (direct):
Sr: 0.0000 0.5000 0.0000
Sr: 0.5000 0.0000 0.0000
Re: 0.0000 0.0000 0.5841
Bi: 0.5000 0.5000 0.5713
O: 0.0000 0.0000 0.2042
O: 0.2266 0.2266 0.6948
O: 0.2266 0.7734 0.6948
O: 0.5000 0.5000 0.1188
O: 0.7734 0.2266 0.6948
O: 0.7734 0.7734 0.6948

***

[3]
Starting from a crystal structure in Alexandria, relaxed with PBE, the X-ray diffraction stick pattern of BaHgSe2 was calculated for Cu Kα X-rays.
Intensities are scaled so that the largest is 100.

The 12 most intense peaks (2θ = 5–70°), low angle first:
2θ 23.66, d 3.760, I 100; 2θ 23.87, d 3.727, I 17; 2θ 25.41, d 3.505, I 22; 2θ 28.57, d 3.124, I 75; 2θ 32.96, d 2.718, I 69; 2θ 35.50, d 2.528, I 21; 2θ 36.59, d 2.456, I 31; 2θ 39.82, d 2.264, I 29; 2θ 41.86, d 2.158, I 35; 2θ 47.38, d 1.919, I 17; 2θ 52.62, d 1.739, I 36; 2θ 63.56, d 1.464, I 15

Crystal structure
a b c (Å): 8.2591 8.2591 7.4544
angles (deg): 90.00 90.00 148.18
Positions (direct):
Ba: 0.1049 0.8951 0.5000
Ba: 0.8951 0.1049 0.0000
Hg: 0.3544 0.6456 0.4833
Hg: 0.6456 0.3544 0.9833
Se: 0.2661 0.7339 0.2022
Se: 0.4715 0.5285 0.7101
Se: 0.5285 0.4715 0.2101
Se: 0.7339 0.2661 0.7022

***

[4]
Starting from a crystal structure in Alexandria, relaxed with PBE, the X-ray diffraction stick pattern of TaTi7Bi2H2 was calculated for Cu Kα X-rays.
Intensities are scaled so that the largest is 100.

The 12 most intense peaks (2θ = 5–70°), low angle first:
2θ 21.82, d 4.073, I 43; 2θ 23.39, d 3.804, I 26; 2θ 29.12, d 3.066, I 62; 2θ 30.54, d 2.927, I 46; 2θ 34.44, d 2.604, I 25; 2θ 38.82, d 2.320, I 100; 2θ 39.48, d 2.282, I 20; 2θ 43.74, d 2.070, I 50; 2θ 49.12, d 1.855, I 17; 2θ 50.73, d 1.799, I 17; 2θ 53.41, d 1.715, I 25; 2θ 60.38, d 1.533, I 22

Crystal structure
a b c (Å): 4.1392 4.1392 11.7775
angles (deg): 100.07 100.07 89.99
Positions (direct):
Ta: 0.0000 0.0000 0.0000
Ti: 0.0898 0.5903 0.1809
Ti: 0.3146 0.3146 0.6281
Ti: 0.4097 0.9102 0.8191
Ti: 0.5000 0.5000 0.0000
Ti: 0.5903 0.0898 0.1809
Ti: 0.6854 0.6854 0.3719
Ti: 0.9102 0.4097 0.8191
Bi: 0.1857 0.1857 0.3726
Bi: 0.8143 0.8143 0.6274
H: 0.4043 0.4043 0.8077
H: 0.5957 0.5957 0.1923

***

[5]
Starting from a crystal structure in Alexandria, relaxed with PBE, the X-ray diffraction stick pattern of BaGa2Si2O8 was calculated for Cu Kα X-rays.
Intensities are scaled so that the largest is 100.

The 12 most intense peaks (2θ = 5–70°), low angle first:
2θ 22.79, d 3.903, I 44; 2θ 24.42, d 3.644, I 34; 2θ 24.94, d 3.571, I 66; 2θ 25.92, d 3.437, I 100; 2θ 26.46, d 3.369, I 43; 2θ 26.58, d 3.354, I 46; 2θ 28.74, d 3.106, I 60; 2θ 29.80, d 2.999, I 33; 2θ 31.36, d 2.852, I 36; 2θ 33.54, d 2.672, I 32; 2θ 33.76, d 2.655, I 84; 2θ 49.19, d 1.852, I 26

Crystal structure
a b c (Å): 9.5713 9.5713 8.8404
angles (deg): 97.68 97.68 88.92
Positions (direct):
Ba: 0.0645 0.5642 0.7855
Ba: 0.4358 0.9355 0.7145
Ba: 0.5642 0.0645 0.2855
Ba: 0.9355 0.4358 0.2145
Ga: 0.0486 0.7999 0.4646
Ga: 0.2001 0.9514 0.0354
Ga: 0.3041 0.4348 0.1132
Ga: 0.4348 0.3041 0.6132
Ga: 0.5652 0.6959 0.3868
Ga: 0.6959 0.5652 0.8868
Ga: 0.7999 0.0486 0.9646
Ga: 0.9514 0.2001 0.5354
Si: 0.0733 0.2148 0.9047
Si: 0.2148 0.0733 0.4047
Si: 0.2854 0.5619 0.4784
Si: 0.4381 0.7146 0.0216
Si: 0.5619 0.2854 0.9784
Si: 0.7146 0.4381 0.5216
Si: 0.7852 0.9267 0.5953
Si: 0.9267 0.7852 0.0953
O: 0.0262 0.2625 0.7342
O: 0.0594 0.8192 0.0049
O: 0.0830 0.1836 0.3992
O: 0.1340 0.3653 0.0047
O: 0.1428 0.6431 0.5311
O: 0.1808 0.9406 0.4951
O: 0.1836 0.0830 0.8992
O: 0.2458 0.4795 0.3039
O: 0.2625 0.0262 0.2342
O: 0.3150 0.4539 0.6092
O: 0.3227 0.5877 0.0087
O: 0.3569 0.8572 0.9689
O: 0.3653 0.1340 0.5047
O: 0.4123 0.6773 0.4913
O: 0.4539 0.3150 0.1092
O: 0.4795 0.2458 0.8039
O: 0.5205 0.7542 0.1961
O: 0.5461 0.6850 0.8908
O: 0.5877 0.3227 0.5087
O: 0.6347 0.8660 0.4953
O: 0.6431 0.1428 0.0311
O: 0.6773 0.4123 0.9913
O: 0.6850 0.5461 0.3908
O: 0.7375 0.9738 0.7658
O: 0.7542 0.5205 0.6961
O: 0.8164 0.9170 0.1008
O: 0.8192 0.0594 0.5049
O: 0.8572 0.3569 0.4689
O: 0.8660 0.6347 0.9953
O: 0.9170 0.8164 0.6008
O: 0.9406 0.1808 0.9951
O: 0.9738 0.7375 0.2658

***

[6]
Starting from a crystal structure in Alexandria, relaxed with PBE, the X-ray diffraction stick pattern of La3Th2PaP6 was calculated for Cu Kα X-rays.
Intensities are scaled so that the largest is 100.

The 12 most intense peaks (2θ = 5–70°), low angle first:
2θ 12.94, d 6.839, I 11; 2θ 26.06, d 3.420, I 24; 2θ 26.20, d 3.402, I 71; 2θ 30.30, d 2.950, I 100; 2θ 43.29, d 2.090, I 37; 2θ 43.47, d 2.082, I 37; 2θ 51.23, d 1.783, I 12; 2θ 51.41, d 1.777, I 36; 2θ 53.60, d 1.710, I 7; 2θ 53.91, d 1.701, I 20; 2θ 63.03, d 1.475, I 12; 2θ 69.59, d 1.351, I 7

Crystal structure
a b c (Å): 7.2117 7.2117 7.2494
angles (deg): 99.54 99.54 120.01
Positions (direct):
La: 0.0000 0.0000 0.0000
La: 0.3317 0.6683 0.0000
La: 0.6683 0.3317 0.0000
Th: 0.1663 0.8337 0.5000
Th: 0.8337 0.1663 0.5000
Pa: 0.5000 0.5000 0.5000
P: 0.0984 0.4218 0.2652
P: 0.2555 0.2555 0.7351
P: 0.4218 0.0984 0.2652
P: 0.5782 0.9016 0.7348
P: 0.7445 0.7445 0.2649
P: 0.9016 0.5782 0.7348

***

[7]
Starting from a crystal structure in Alexandria, relaxed with PBE, the X-ray diffraction stick pattern of CaFe2PN was calculated for Cu Kα X-rays.
Intensities are scaled so that the largest is 100.

The 12 most intense peaks (2θ = 5–70°), low angle first:
2θ 17.05, d 5.200, I 24; 2θ 35.87, d 2.504, I 78; 2θ 37.15, d 2.420, I 36; 2θ 37.83, d 2.378, I 100; 2θ 38.44, d 2.342, I 33; 2θ 44.30, d 2.045, I 19; 2θ 44.59, d 2.032, I 30; 2θ 45.42, d 1.997, I 21; 2θ 49.13, d 1.854, I 46; 2θ 50.42, d 1.810, I 39; 2θ 60.27, d 1.536, I 18; 2θ 67.01, d 1.397, I 18

Crystal structure
a b c (Å): 5.5059 5.5059 6.6223
angles (deg): 90.00 90.00 141.62
Positions (direct):
Ca: 0.0456 0.9544 0.7500
Ca: 0.9544 0.0456 0.2500
Fe: 0.3355 0.6645 0.5546
Fe: 0.3355 0.6645 0.9454
Fe: 0.6645 0.3355 0.0546
Fe: 0.6645 0.3355 0.4454
P: 0.2296 0.7704 0.2500
P: 0.7704 0.2296 0.7500
N: 0.5000 0.5000 0.0000
N: 0.5000 0.5000 0.5000

***

[8]
Starting from a crystal structure in Alexandria, relaxed with PBE, the X-ray diffraction stick pattern of Pd4Pb was calculated for Cu Kα X-rays.
Intensities are scaled so that the largest is 100.

The 12 most intense peaks (2θ = 5–70°), low angle first:
2θ 28.87, d 3.093, I 11; 2θ 34.23, d 2.620, I 6; 2θ 38.30, d 2.350, I 100; 2θ 38.52, d 2.337, I 91; 2θ 41.10, d 2.196, I 38; 2θ 41.47, d 2.177, I 41; 2θ 42.81, d 2.112, I 16; 2θ 50.84, d 1.796, I 19; 2θ 59.81, d 1.546, I 25; 2θ 66.12, d 1.413, I 10; 2θ 67.06, d 1.396, I 9; 2θ 67.61, d 1.386, I 17

Crystal structure
a b c (Å): 7.8376 7.8376 7.8376
angles (deg): 147.74 137.72 54.16
Positions (direct):
Pd: 0.0000 0.0000 0.0000
Pd: 0.2035 0.1951 0.0084
Pd: 0.3133 0.8049 0.5084
Pd: 0.3537 0.6037 0.7500
Pd: 0.5000 0.0000 0.5000
Pd: 0.6463 0.3963 0.2500
Pd: 0.6867 0.1951 0.4916
Pd: 0.7965 0.8049 0.9916
Pb: 0.1432 0.3932 0.7500
Pb: 0.8568 0.6068 0.2500

***

[9]
Starting from a crystal structure in Alexandria, relaxed with PBE, the X-ray diffraction stick pattern of Sm2Ga2Ru was calculated for Cu Kα X-rays.
Intensities are scaled so that the largest is 100.

The 12 most intense peaks (2θ = 5–70°), low angle first:
2θ 25.78, d 3.456, I 15; 2θ 32.07, d 2.791, I 100; 2θ 32.95, d 2.718, I 80; 2θ 35.61, d 2.521, I 42; 2θ 38.02, d 2.366, I 28; 2θ 39.46, d 2.284, I 17; 2θ 40.09, d 2.249, I 49; 2θ 40.64, d 2.220, I 40; 2θ 56.44, d 1.630, I 24; 2θ 66.44, d 1.407, I 18; 2θ 67.80, d 1.382, I 15; 2θ 68.32, d 1.373, I 26

Crystal structure
a b c (Å): 5.6683 5.6683 10.7834
angles (deg): 116.08 116.08 46.76
Positions (direct):
Sm: 0.0824 0.0824 0.3888
Sm: 0.3252 0.3252 0.8288
Sm: 0.6748 0.6748 0.1712
Sm: 0.9176 0.9176 0.6112
Ga: 0.0825 0.0825 0.9321
Ga: 0.3774 0.3774 0.3786
Ga: 0.6226 0.6226 0.6214
Ga: 0.9175 0.9175 0.0679
Ru: 0.3504 0.3504 0.1267
Ru: 0.6496 0.6496 0.8733

***

[10]
Starting from a crystal structure in Alexandria, relaxed with PBE, the X-ray diffraction stick pattern of YAl4Au8 was calculated for Cu Kα X-rays.
Intensities are scaled so that the largest is 100.

The 12 most intense peaks (2θ = 5–70°), low angle first:
2θ 27.43, d 3.251, I 90; 2θ 32.20, d 2.780, I 73; 2θ 33.38, d 2.685, I 53; 2θ 37.81, d 2.379, I 12; 2θ 38.84, d 2.318, I 100; 2θ 39.18, d 2.299, I 47; 2θ 42.80, d 2.113, I 83; 2θ 43.73, d 2.070, I 34; 2θ 51.59, d 1.772, I 29; 2θ 52.40, d 1.746, I 14; 2θ 61.88, d 1.499, I 26; 2θ 67.34, d 1.390, I 37

Crystal structure
a b c (Å): 7.0723 7.0723 7.0723
angles (deg): 98.89 98.89 133.70
Positions (direct):
Y: 0.0000 0.0000 0.0000
Al: 0.0000 0.0000 0.5000
Al: 0.0000 0.5000 0.0000
Al: 0.5000 0.0000 0.0000
Al: 0.5000 0.5000 0.5000
Au: 0.0000 0.3244 0.3244
Au: 0.0000 0.6756 0.6756
Au: 0.2807 0.5000 0.7807
Au: 0.3244 0.0000 0.3244
Au: 0.5000 0.2807 0.7807
Au: 0.5000 0.7193 0.2193
Au: 0.6756 0.0000 0.6756
Au: 0.7193 0.5000 0.2193